The following is a theoretical powder diffractogram of KMnF4. It was derived from a DFT-relaxed cell (PBE+U, the Materials Project), using Cu Kα.
Intensities are scaled so that the largest is 100.

Cell and atoms:
```
data_KMnF4
_chemical_formula_sum 'K4 Mn4 F16'
_symmetry_space_group_name_H-M 'P 1'
_symmetry_Int_Tables_number 1
_cell_length_a 5.9120
_cell_length_b 7.8484
_cell_length_c 7.8867
_cell_angle_alpha 90.00
_cell_angle_beta 90.63
_cell_angle_gamma 90.00
loop_
_symmetry_equiv_pos_as_xyz
'x,y,z'
loop_
_atom_site_label
_atom_site_type_symbol
_atom_site_fract_x
_atom_site_fract_y
_atom_site_fract_z
K1 K 0.0077 0.1933 0.2543
K2 K 0.0077 0.3067 0.7543
K3 K 0.9923 0.6933 0.2457
K4 K 0.9923 0.8067 0.7457
Mn1 Mn 0.5000 0.0000 0.0000
Mn2 Mn 0.5000 0.0000 0.5000
Mn3 Mn 0.5000 0.5000 0.0000
Mn4 Mn 0.5000 0.5000 0.5000
F1 F 0.2093 0.5582 0.5646
F2 F 0.2093 0.9418 0.0646
F3 F 0.2103 0.5758 0.9463
F4 F 0.2103 0.9242 0.4463
F5 F 0.3849 0.2298 0.4970
F6 F 0.3849 0.2702 0.9970
F7 F 0.4052 0.5184 0.2673
F8 F 0.4052 0.9816 0.7673
F9 F 0.5948 0.0184 0.2327
F10 F 0.5948 0.4816 0.7327
F11 F 0.6151 0.7298 0.0030
F12 F 0.6151 0.7702 0.5030
F13 F 0.7897 0.0758 0.5537
F14 F 0.7897 0.4242 0.0537
F15 F 0.7907 0.0582 0.9354
F16 F 0.7907 0.4418 0.4354
```

Top 10 peaks for 10 to 90 degrees two-theta, low angle first:
Position (°2θ), I (rel.), hkl
15.0, 28, 1 0 0
22.5, 16, 0 0 2
22.7, 21, 0 2 0
27.0, 39, 1 0 -2
27.3, 100, 1 0 2
30.2, 18, 2 0 0
32.2, 28, 0 2 2
46.0, 20, 0 0 4
51.9, 18, 3 2 0
54.5, 15, 1 2 4